# Ag2SnBiS4
Simulated PXRD pattern, copper Kα. Input: a cell relaxed with GGA-PBE.
Neutral-atom scattering factors, no anomalous dispersion.

Top 6 peaks for 2θ from 5° to 70°, low angle first:
index, two_theta, I/Imax
1 1 2, 27.6, 100
0 0 4, 31.5, 49
2 0 0, 32.3, 92
2 0 4, 45.7, 68
3 1 2, 54.7, 34
2 2 4, 57.1, 35

Atomic structure:
Cell lengths 5.549, 5.549, 11.361 Å; angles 90.00, 90.00, 90.00 degrees
Positions (direct):
Ag: 0.000 0.000 0.000
Ag: 0.000 0.500 0.250
Ag: 0.500 0.000 0.750
Ag: 0.500 0.500 0.500
Sn: 0.000 0.000 0.500
Sn: 0.500 0.500 0.000
Bi: 0.000 0.500 0.750
Bi: 0.500 0.000 0.250
S: 0.000 0.000 0.256
S: 0.000 0.000 0.744
S: 0.000 0.500 0.000
S: 0.000 0.500 0.500
S: 0.500 0.000 0.000
S: 0.500 0.000 0.500
S: 0.500 0.500 0.244
S: 0.500 0.500 0.756